# 1
Structure and simulated powder diffractogram of Ca3Os (DFT lattice parameters and positions (GGA-PBE); Cu Kα).
Intensities are scaled so that the largest is 100.

Atomic structure:
```
4
Lattice="0.000 3.689 3.689 3.689 0.000 3.689 3.689 3.689 0.000" Properties=species:S:1:pos:R:3 pbc="T T T"
Ca 0.000 0.000 0.000
Ca 1.844 1.844 1.844
Ca 5.533 5.533 5.533
Os 3.689 3.689 3.689
```

The 12 most intense peaks (2θ from 10° to 90°), sorted by position:
- 20.9 deg, rel. 47
- 24.1 deg, rel. 25
- 34.4 deg, rel. 100
- 40.6 deg, rel. 27
- 49.4 deg, rel. 17
- 54.2 deg, rel. 12
- 55.7 deg, rel. 11
- 61.6 deg, rel. 35
- 65.8 deg, rel. 9
- 72.5 deg, rel. 11
- 76.4 deg, rel. 9
- 82.7 deg, rel. 15

# 2
Structure and simulated powder diffractogram of Ba3V2N4 (DFT lattice parameters and positions (GGA-PBE); Cu Kα).
Intensities are scaled so that the largest is 100.

Atomic structure:
```
18
Lattice="-2.954 8.161 3.928 2.954 -8.161 3.928 2.954 8.161 -3.928" Properties=species:S:1:pos:R:3 pbc="T T T"
Ba 2.954 4.081 -0.585
Ba 0.000 1.832 0.527
Ba 0.000 6.329 0.527
Ba 2.954 1.832 3.401
Ba 2.954 6.329 3.401
Ba 0.000 4.081 4.513
V 2.954 -0.664 1.117
V 2.954 7.498 -1.117
V 0.000 0.664 5.045
V 0.000 8.825 2.811
N 2.954 1.224 0.661
N 1.477 6.783 -1.964
N 1.477 -1.378 1.964
N 0.000 1.224 3.268
N 2.954 6.938 0.661
N -1.477 9.539 1.964
N 1.477 9.539 1.964
N 0.000 6.938 3.268
```

The 12 most intense peaks (2θ from 10° to 90°), sorted by position:
- 21.8 deg, rel. 13
- 22.6 deg, rel. 16
- 27.8 deg, rel. 49
- 28.9 deg, rel. 100
- 30.3 deg, rel. 40
- 38.1 deg, rel. 36
- 44.4 deg, rel. 13
- 49.2 deg, rel. 12
- 49.4 deg, rel. 16
- 52.9 deg, rel. 18
- 54.6 deg, rel. 13
- 63.9 deg, rel. 13

Question: Number 1 is which compound?
Answer: Ca3Os

Please write out number 2 again, unchanged.
Structure and simulated powder diffractogram of Ba3V2N4 (DFT lattice parameters and positions (GGA-PBE); Cu Kα).
Intensities are scaled so that the largest is 100.

Atomic structure:
```
18
Lattice="-2.954 8.161 3.928 2.954 -8.161 3.928 2.954 8.161 -3.928" Properties=species:S:1:pos:R:3 pbc="T T T"
Ba 2.954 4.081 -0.585
Ba 0.000 1.832 0.527
Ba 0.000 6.329 0.527
Ba 2.954 1.832 3.401
Ba 2.954 6.329 3.401
Ba 0.000 4.081 4.513
V 2.954 -0.664 1.117
V 2.954 7.498 -1.117
V 0.000 0.664 5.045
V 0.000 8.825 2.811
N 2.954 1.224 0.661
N 1.477 6.783 -1.964
N 1.477 -1.378 1.964
N 0.000 1.224 3.268
N 2.954 6.938 0.661
N -1.477 9.539 1.964
N 1.477 9.539 1.964
N 0.000 6.938 3.268
```

The 12 most intense peaks (2θ from 10° to 90°), sorted by position:
- 21.8 deg, rel. 13
- 22.6 deg, rel. 16
- 27.8 deg, rel. 49
- 28.9 deg, rel. 100
- 30.3 deg, rel. 40
- 38.1 deg, rel. 36
- 44.4 deg, rel. 13
- 49.2 deg, rel. 12
- 49.4 deg, rel. 16
- 52.9 deg, rel. 18
- 54.6 deg, rel. 13
- 63.9 deg, rel. 13

Please write out number 2 again, unchanged.
Structure and simulated powder diffractogram of Ba3V2N4 (DFT lattice parameters and positions (GGA-PBE); Cu Kα).
Intensities are scaled so that the largest is 100.

Atomic structure:
```
18
Lattice="-2.954 8.161 3.928 2.954 -8.161 3.928 2.954 8.161 -3.928" Properties=species:S:1:pos:R:3 pbc="T T T"
Ba 2.954 4.081 -0.585
Ba 0.000 1.832 0.527
Ba 0.000 6.329 0.527
Ba 2.954 1.832 3.401
Ba 2.954 6.329 3.401
Ba 0.000 4.081 4.513
V 2.954 -0.664 1.117
V 2.954 7.498 -1.117
V 0.000 0.664 5.045
V 0.000 8.825 2.811
N 2.954 1.224 0.661
N 1.477 6.783 -1.964
N 1.477 -1.378 1.964
N 0.000 1.224 3.268
N 2.954 6.938 0.661
N -1.477 9.539 1.964
N 1.477 9.539 1.964
N 0.000 6.938 3.268
```

The 12 most intense peaks (2θ from 10° to 90°), sorted by position:
- 21.8 deg, rel. 13
- 22.6 deg, rel. 16
- 27.8 deg, rel. 49
- 28.9 deg, rel. 100
- 30.3 deg, rel. 40
- 38.1 deg, rel. 36
- 44.4 deg, rel. 13
- 49.2 deg, rel. 12
- 49.4 deg, rel. 16
- 52.9 deg, rel. 18
- 54.6 deg, rel. 13
- 63.9 deg, rel. 13